Starting from a cell relaxed with GGA+U, the XRD peak list of Cs2AlMoO4 was computed for Cu Kα (λ = 1.5418 Å).

Top 10 peaks for 2θ from 15° to 90°, in order of rising 2θ:
| 2θ (°) | d [Å] | I/Imax |
| --- | --- | --- |
| 17.83 | 4.973 | 60 |
| 21.23 | 4.184 | 43 |
| 26.82 | 3.324 | 41 |
| 27.97 | 3.190 | 47 |
| 28.17 | 3.168 | 100 |
| 29.11 | 3.068 | 35 |
| 33.48 | 2.676 | 46 |
| 35.14 | 2.553 | 49 |
| 40.75 | 2.214 | 40 |
| 50.14 | 1.819 | 39 |

Cell and atoms:
```
Cs2AlMoO4
1.0
0.0000 6.3807 10.9470
2.7863 0.0000 10.9470
2.7863 6.3807 0.0000
Cs Al Mo O
4 2 2 8
Cartesian
2.0898 4.7855 1.1098
3.4829 7.9759 6.5833
2.0898 4.7855 15.3108
3.4829 7.9759 20.7843
2.0898 4.7855 8.2103
3.4829 7.9759 13.6838
0.6966 1.5952 2.7368
4.8761 11.1663 19.1573
3.3007 3.7976 7.3428
3.3007 5.7735 9.0777
4.6939 6.9880 14.5512
4.6939 8.9638 12.8163
0.8788 3.7976 9.0777
0.8788 5.7735 7.3428
2.2720 6.9880 12.8163
2.2720 8.9638 14.5512
```